Starting from a structure optimized by DFT (PBE+U), the PXRD pattern of Li5Mn2P2C2O14 was simulated for Cu Kα X-rays.

Crystal structure
a = 5.0060 Å, b = 6.6063 Å, c = 8.5065 Å
α = 90.00°, β = 94.87°, γ = 90.00°
Space group Pm (No. 6)
Inequivalent atoms, fractional coordinates:
Li  0.0000  0.0000  0.0000 [1 per cell]
Li  0.4716  0.2277  0.8383 [2 per cell]
Li  0.9751  0.2651  0.3539 [2 per cell]
Mn  0.0020  0.5000  0.7601 [1 per cell]
Mn  0.4411  0.0000  0.4466 [1 per cell]
P  0.4825  0.5000  0.5177 [1 per cell]
P  0.9425  0.0000  0.6900 [1 per cell]
C  0.5272  0.0000  0.1400 [1 per cell]
C  0.9315  0.5000  0.0483 [1 per cell]
O  0.0303  0.0000  0.5209 [1 per cell]
O  0.0534  0.1833  0.7907 [2 per cell]
O  0.1640  0.5000  0.9874 [1 per cell]
O  0.2793  0.0000  0.1710 [1 per cell]
O  0.3808  0.3115  0.4260 [2 per cell]
O  0.3875  0.5000  0.6884 [1 per cell]
O  0.5955  0.0000  0.9958 [1 per cell]
O  0.6300  0.0000  0.6818 [1 per cell]
O  0.7149  0.0000  0.2567 [1 per cell]
O  0.7281  0.5000  0.9396 [1 per cell]
O  0.8009  0.5000  0.5423 [1 per cell]
O  0.9087  0.5000  0.1947 [1 per cell]

The 6 most intense peaks (2θ = 10–90°), sorted by position:
h k l	2θ (°)	I/Imax
0 0 1	10.44	100
0 1 1	17.02	27
1 0 -1	19.87	28
1 0 1	21.42	41
1 0 -2	26.42	35
0 2 0	26.99	90